Theoretical XRD peak list
Compound: NpTiSb
Radiation: CuKα
Structure: the PBE geometry in Alexandria

Structural model:
```
data_NpTiSb
_chemical_formula_sum 'Np4 Ti4 Sb4'
_cell_length_a 5.225
_cell_length_b 5.240
_cell_length_c 8.629
_cell_angle_alpha 90.00
_cell_angle_beta 90.35
_cell_angle_gamma 90.00
_space_group_name_H-M_alt 'C 1 2/m 1'
_space_group_IT_number 12
_space_group_name_Hall '-C 2y'
loop_
_atom_site_label
_atom_site_type_symbol
_atom_site_fract_x
_atom_site_fract_y
_atom_site_fract_z
_atom_site_occupancy
Np1 Np 0.000 0.241 0.000 1
Ti1 Ti 0.242 0.000 0.611 1
Sb1 Sb 0.243 0.500 0.713 1
```

Peak list (10 most intense, 10° ≤ 2θ ≤ 90°, sorted by position)
d = 8.629 Å, rel. 100; d = 4.314 Å, rel. 14; d = 3.402 Å, rel. 15; d = 2.876 Å, rel. 34; d = 2.506 Å, rel. 54; d = 2.496 Å, rel. 20; d = 2.240 Å, rel. 51; d = 2.229 Å, rel. 16; d = 1.850 Å, rel. 27; d = 1.553 Å, rel. 11

---

Theoretical XRD peak list
Compound: Np2ScSe6
Radiation: CuKα
Structure: the PBE geometry in Alexandria

Structural model:
```
data_Np2ScSe6
_chemical_formula_sum 'Np4 Sc2 Se12'
_cell_length_a 6.525
_cell_length_b 6.525
_cell_length_c 12.341
_cell_angle_alpha 90.00
_cell_angle_beta 90.00
_cell_angle_gamma 90.00
_space_group_name_H-M_alt 'P 42/m n m'
_space_group_IT_number 136
_space_group_name_Hall '-P 4n 2n'
loop_
_atom_site_label
_atom_site_type_symbol
_atom_site_fract_x
_atom_site_fract_y
_atom_site_fract_z
_atom_site_occupancy
Np1 Np 0.000 0.000 0.169 1
Sc1 Sc 0.000 0.000 0.500 1
Se1 Se 0.197 0.197 0.339 1
Se2 Se 0.199 0.199 0.000 1
```

Peak list (10 most intense, 10° ≤ 2θ ≤ 90°, sorted by position)
d = 5.768 Å, rel. 30; d = 4.614 Å, rel. 100; d = 3.480 Å, rel. 40; d = 3.070 Å, rel. 44; d = 2.380 Å, rel. 94; d = 2.307 Å, rel. 41; d = 2.057 Å, rel. 18; d = 1.923 Å, rel. 51; d = 1.535 Å, rel. 19; d = 1.162 Å, rel. 19

---

Theoretical XRD peak list
Compound: NpScSe4
Radiation: CuKα
Structure: the PBE geometry in Alexandria

Structural model:
```
data_NpScSe4
_chemical_formula_sum 'Np2 Sc2 Se8'
_cell_length_a 6.800
_cell_length_b 6.345
_cell_length_c 7.675
_cell_angle_alpha 90.00
_cell_angle_beta 90.00
_cell_angle_gamma 90.00
_space_group_name_H-M_alt 'P n c 2'
_space_group_IT_number 30
_space_group_name_Hall 'P 2 -2bc'
loop_
_atom_site_label
_atom_site_type_symbol
_atom_site_fract_x
_atom_site_fract_y
_atom_site_fract_z
_atom_site_occupancy
Np1 Np 0.000 0.000 0.000 1
Sc1 Sc 0.500 0.000 0.723 1
Se1 Se 0.181 0.245 0.750 1
Se2 Se 0.329 0.741 0.474 1
```

Peak list (10 most intense, 10° ≤ 2θ ≤ 90°, sorted by position)
d = 6.800 Å, rel. 44; d = 4.890 Å, rel. 81; d = 3.970 Å, rel. 100; d = 2.997 Å, rel. 29; d = 2.957 Å, rel. 68; d = 2.791 Å, rel. 36; d = 2.320 Å, rel. 47; d = 2.301 Å, rel. 72; d = 1.952 Å, rel. 61; d = 1.231 Å, rel. 22

---

Theoretical XRD peak list
Compound: TbNp2ScSe4
Radiation: CuKα
Structure: the PBE geometry in Alexandria

Structural model:
```
data_TbNp2ScSe4
_chemical_formula_sum 'Tb1 Np2 Sc1 Se4'
_cell_length_a 6.994
_cell_length_b 4.031
_cell_length_c 7.038
_cell_angle_alpha 90.00
_cell_angle_beta 109.25
_cell_angle_gamma 90.00
_space_group_name_H-M_alt 'P 1 2/m 1'
_space_group_IT_number 10
_space_group_name_Hall '-P 2y'
loop_
_atom_site_label
_atom_site_type_symbol
_atom_site_fract_x
_atom_site_fract_y
_atom_site_fract_z
_atom_site_occupancy
Tb1 Tb 0.000 0.000 0.000 1
Np1 Np 0.000 0.500 0.500 1
Np2 Np 0.500 0.000 0.500 1
Sc1 Sc 0.500 0.500 0.000 1
Se1 Se 0.255 0.500 0.243 1
Se2 Se 0.262 0.000 0.762 1
```

Peak list (10 most intense, 10° ≤ 2θ ≤ 90°, sorted by position)
d = 6.639 Å, rel. 16; d = 3.442 Å, rel. 13; d = 3.297 Å, rel. 18; d = 2.861 Å, rel. 100; d = 2.029 Å, rel. 37; d = 2.017 Å, rel. 37; d = 1.648 Å, rel. 13; d = 1.430 Å, rel. 12; d = 1.282 Å, rel. 11; d = 1.277 Å, rel. 17

---

Theoretical XRD peak list
Compound: NpScTe3
Radiation: CuKα
Structure: the PBE geometry in Alexandria

Structural model:
```
data_NpScTe3
_chemical_formula_sum 'Np4 Sc4 Te12'
_cell_length_a 9.052
_cell_length_b 4.157
_cell_length_c 15.606
_cell_angle_alpha 90.00
_cell_angle_beta 90.00
_cell_angle_gamma 90.00
_space_group_name_H-M_alt 'P n m a'
_space_group_IT_number 62
_space_group_name_Hall '-P 2ac 2n'
loop_
_atom_site_label
_atom_site_type_symbol
_atom_site_fract_x
_atom_site_fract_y
_atom_site_fract_z
_atom_site_occupancy
Np1 Np 0.148 0.250 0.199 1
Sc1 Sc 0.179 0.750 0.461 1
Te1 Te 0.003 0.750 0.617 1
Te2 Te 0.146 0.250 0.800 1
Te3 Te 0.158 0.750 0.047 1
```

Peak list (10 most intense, 10° ≤ 2θ ≤ 90°, sorted by position)
d = 7.804 Å, rel. 27; d = 3.058 Å, rel. 66; d = 2.960 Å, rel. 37; d = 2.951 Å, rel. 35; d = 2.850 Å, rel. 100; d = 2.610 Å, rel. 22; d = 2.406 Å, rel. 32; d = 2.078 Å, rel. 27; d = 1.926 Å, rel. 17; d = 1.699 Å, rel. 19

---

Theoretical XRD peak list
Compound: NpScZn
Radiation: CuKα
Structure: the PBE geometry in Alexandria

Structural model:
```
data_NpScZn
_chemical_formula_sum 'Np4 Sc4 Zn4'
_cell_length_a 3.062
_cell_length_b 16.125
_cell_length_c 4.761
_cell_angle_alpha 90.00
_cell_angle_beta 90.00
_cell_angle_gamma 90.00
_space_group_name_H-M_alt 'C m c m'
_space_group_IT_number 63
_space_group_name_Hall '-C 2c 2'
loop_
_atom_site_label
_atom_site_type_symbol
_atom_site_fract_x
_atom_site_fract_y
_atom_site_fract_z
_atom_site_occupancy
Np1 Np 0.000 0.245 0.250 1
Sc1 Sc 0.000 0.434 0.750 1
Zn1 Zn 0.000 0.094 0.750 1
```

Peak list (10 most intense, 10° ≤ 2θ ≤ 90°, sorted by position)
d = 8.063 Å, rel. 100; d = 4.031 Å, rel. 22; d = 2.688 Å, rel. 29; d = 2.543 Å, rel. 28; d = 2.381 Å, rel. 23; d = 2.323 Å, rel. 84; d = 2.013 Å, rel. 19; d = 1.782 Å, rel. 17; d = 1.471 Å, rel. 16; d = 1.363 Å, rel. 15

---

Theoretical XRD peak list
Compound: ZrNpSc
Radiation: CuKα
Structure: the PBE geometry in Alexandria

Structural model:
```
data_ZrNpSc
_chemical_formula_sum 'Zr6 Np6 Sc6'
_cell_length_a 5.8714
_cell_length_b 5.8714
_cell_length_c 14.8752
_cell_angle_alpha 90.00
_cell_angle_beta 90.00
_cell_angle_gamma 120.00
_space_group_name_H-M_alt 'P 62 2 2'
_space_group_IT_number 180
_space_group_name_Hall 'P 62 2 (0 0 4)'
loop_
_atom_site_label
_atom_site_type_symbol
_atom_site_fract_x
_atom_site_fract_y
_atom_site_fract_z
_atom_site_occupancy
Zr1 Zr 0.0000 0.5000 0.3654 1
Np1 Np 0.2470 0.6235 0.1667 1
Sc1 Sc 0.0000 0.0000 0.1667 1
Sc2 Sc 0.0000 0.5000 0.6667 1
```

Peak list (10 most intense, 10° ≤ 2θ ≤ 90°, sorted by position)
d = 5.085 Å, rel. 77; d = 4.958 Å, rel. 36; d = 4.811 Å, rel. 33; d = 2.936 Å, rel. 37; d = 2.526 Å, rel. 100; d = 2.479 Å, rel. 27; d = 2.262 Å, rel. 29; d = 1.906 Å, rel. 23; d = 1.894 Å, rel. 27; d = 1.861 Å, rel. 32

---

Theoretical XRD peak list
Compound: Np3Se4
Radiation: CuKα
Structure: the PBE geometry in Alexandria

Structural model:
```
data_Np3Se4
_chemical_formula_sum 'Np9 Se12'
_cell_length_a 4.1758
_cell_length_b 4.1758
_cell_length_c 40.2991
_cell_angle_alpha 90.00
_cell_angle_beta 90.00
_cell_angle_gamma 120.00
_space_group_name_H-M_alt 'R -3 m'
_space_group_IT_number 166
_space_group_name_Hall '-R 3 2"'
loop_
_atom_site_label
_atom_site_type_symbol
_atom_site_fract_x
_atom_site_fract_y
_atom_site_fract_z
_atom_site_occupancy
Np1 Np 0.0000 0.0000 0.0000 1
Np2 Np 0.0000 0.0000 0.0873 1
Se1 Se 0.0000 0.0000 0.2106 1
Se2 Se 0.0000 0.0000 0.3757 1
```

Peak list (10 most intense, 10° ≤ 2θ ≤ 90°, sorted by position)
d = 6.717 Å, rel. 28; d = 4.478 Å, rel. 22; d = 3.602 Å, rel. 100; d = 3.560 Å, rel. 29; d = 3.062 Å, rel. 34; d = 2.692 Å, rel. 74; d = 2.574 Å, rel. 72; d = 2.354 Å, rel. 45; d = 2.088 Å, rel. 78; d = 1.308 Å, rel. 29

---

Theoretical XRD peak list
Compound: Np5Se7
Radiation: CuKα
Structure: the PBE geometry in Alexandria

Structural model:
```
data_Np5Se7
_chemical_formula_sum 'Np10 Se14'
_cell_length_a 13.460
_cell_length_b 4.036
_cell_length_c 12.097
_cell_angle_alpha 90.00
_cell_angle_beta 104.92
_cell_angle_gamma 90.00
_space_group_name_H-M_alt 'C 1 2/m 1'
_space_group_IT_number 12
_space_group_name_Hall '-C 2y'
loop_
_atom_site_label
_atom_site_type_symbol
_atom_site_fract_x
_atom_site_fract_y
_atom_site_fract_z
_atom_site_occupancy
Np1 Np 0.000 0.000 0.000 1
Np2 Np 0.118 0.000 0.426 1
Np3 Np 0.198 0.500 0.812 1
Se1 Se 0.000 0.500 0.500 1
Se2 Se 0.039 0.000 0.783 1
Se3 Se 0.157 0.500 0.051 1
Se4 Se 0.237 0.500 0.347 1
```

Peak list (10 most intense, 10° ≤ 2θ ≤ 90°, sorted by position)
d = 3.879 Å, rel. 100; d = 3.802 Å, rel. 87; d = 2.992 Å, rel. 68; d = 2.846 Å, rel. 92; d = 2.752 Å, rel. 71; d = 2.419 Å, rel. 38; d = 2.248 Å, rel. 56; d = 2.070 Å, rel. 41; d = 2.018 Å, rel. 54; d = 2.006 Å, rel. 37

---

Theoretical XRD peak list
Compound: SmNp2Se4
Radiation: CuKα
Structure: the PBE geometry in Alexandria

Structural model:
```
data_SmNp2Se4
_chemical_formula_sum 'Sm4 Np8 Se16'
_cell_length_a 4.026
_cell_length_b 13.552
_cell_length_c 13.889
_cell_angle_alpha 90.00
_cell_angle_beta 90.00
_cell_angle_gamma 90.00
_space_group_name_H-M_alt 'C m c m'
_space_group_IT_number 63
_space_group_name_Hall '-C 2c 2'
loop_
_atom_site_label
_atom_site_type_symbol
_atom_site_fract_x
_atom_site_fract_y
_atom_site_fract_z
_atom_site_occupancy
Sm1 Sm 0.000 0.119 0.250 1
Np1 Np 0.000 0.366 0.066 1
Se1 Se 0.000 0.000 0.000 1
Se2 Se 0.000 0.276 0.625 1
Se3 Se 0.000 0.462 0.250 1
```

Peak list (10 most intense, 10° ≤ 2θ ≤ 90°, sorted by position)
d = 3.823 Å, rel. 100; d = 3.006 Å, rel. 30; d = 2.938 Å, rel. 56; d = 2.758 Å, rel. 80; d = 2.255 Å, rel. 55; d = 2.030 Å, rel. 38; d = 2.022 Å, rel. 28; d = 2.013 Å, rel. 29; d = 1.781 Å, rel. 25; d = 1.429 Å, rel. 24

---

Theoretical XRD peak list
Compound: SmNp2Se4
Radiation: CuKα
Structure: the PBE geometry in Alexandria

Structural model:
```
data_SmNp2Se4
_chemical_formula_sum 'Sm4 Np8 Se16'
_cell_length_a 8.277
_cell_length_b 8.283
_cell_length_c 11.641
_cell_angle_alpha 90.00
_cell_angle_beta 90.00
_cell_angle_gamma 90.00
_space_group_name_H-M_alt 'I m m a'
_space_group_IT_number 74
_space_group_name_Hall '-I 2b 2'
loop_
_atom_site_label
_atom_site_type_symbol
_atom_site_fract_x
_atom_site_fract_y
_atom_site_fract_z
_atom_site_occupancy
Sm1 Sm 0.250 0.250 0.250 1
Np1 Np 0.000 0.000 0.000 1
Np2 Np 0.250 0.250 0.750 1
Se1 Se 0.000 0.003 0.746 1
Se2 Se 0.243 0.250 0.999 1
```

Peak list (10 most intense, 10° ≤ 2θ ≤ 90°, sorted by position)
d = 6.746 Å, rel. 50; d = 3.529 Å, rel. 20; d = 3.374 Å, rel. 28; d = 2.928 Å, rel. 100; d = 2.910 Å, rel. 49; d = 2.070 Å, rel. 38; d = 2.064 Å, rel. 74; d = 1.687 Å, rel. 40; d = 1.309 Å, rel. 17; d = 1.194 Å, rel. 26

---

Theoretical XRD peak list
Compound: NpSn4Se7
Radiation: CuKα
Structure: the PBE geometry in Alexandria

Structural model:
```
data_NpSn4Se7
_chemical_formula_sum 'Np2 Sn8 Se14'
_cell_length_a 13.701
_cell_length_b 4.107
_cell_length_c 12.923
_cell_angle_alpha 90.00
_cell_angle_beta 103.99
_cell_angle_gamma 90.00
_space_group_name_H-M_alt 'C 1 m 1'
_space_group_IT_number 8
_space_group_name_Hall 'C -2y'
loop_
_atom_site_label
_atom_site_type_symbol
_atom_site_fract_x
_atom_site_fract_y
_atom_site_fract_z
_atom_site_occupancy
Np1 Np 0.000 0.000 0.000 1
Sn1 Sn 0.091 0.000 0.424 1
Sn2 Sn 0.257 0.000 0.857 1
Sn3 Sn 0.265 0.500 0.249 1
Sn4 Sn 0.421 0.000 0.583 1
Se1 Se 0.069 0.000 0.625 1
Se2 Se 0.117 0.000 0.215 1
Se3 Se 0.125 0.500 0.964 1
Se4 Se 0.236 0.500 0.459 1
Se5 Se 0.375 0.500 0.795 1
Se6 Se 0.384 0.000 0.061 1
Se7 Se 0.445 0.000 0.371 1
```

Peak list (10 most intense, 10° ≤ 2θ ≤ 90°, sorted by position)
d = 6.270 Å, rel. 39; d = 4.094 Å, rel. 40; d = 3.045 Å, rel. 100; d = 3.012 Å, rel. 39; d = 2.908 Å, rel. 60; d = 2.825 Å, rel. 36; d = 2.368 Å, rel. 31; d = 2.124 Å, rel. 30; d = 2.054 Å, rel. 41; d = 2.023 Å, rel. 31